Zr3SbN: calculated X-ray powder pattern (Cu Ka), based on a DFT-relaxed cell (GGA-PBE, Alexandria).

Crystal structure
Unit cell a=4.6921 b=4.3559 c=9.2318 alpha=90.00 beta=90.00 gamma=90.00
Space group Pmma (No. 51)
Asymmetric unit:
Zr 0.2500 0.0000 0.1156 [2 per cell]
Zr 0.2500 0.0000 0.6174 [2 per cell]
Zr 0.2500 0.5000 0.8634 [2 per cell]
Sb 0.2500 0.5000 0.3625 [2 per cell]
N 0.2500 0.0000 0.8728 [2 per cell]

Most intense lines, 2θ from 10° to 90°, in order of falling intensity:
- hkl 1 1 2, 34.15 deg, I = 100
- hkl 2 0 0, 38.37 deg, I = 21
- hkl 0 0 4, 39.03 deg, I = 19
- hkl 0 2 0, 41.46 deg, I = 17
- hkl 3 1 2, 66.69 deg, I = 14
- hkl 2 0 4, 55.88 deg, I = 13
- hkl 2 2 0, 57.76 deg, I = 12
- hkl 2 2 4, 71.92 deg, I = 12
- hkl 1 1 6, 67.59 deg, I = 12
- hkl 1 3 2, 70.95 deg, I = 12

=====

Sc3Se2N: calculated X-ray powder pattern (Cu Ka), based on a DFT-relaxed cell (GGA-PBE, Alexandria).

Crystal structure
Unit cell a=6.5951 b=11.0322 c=6.1722 alpha=90.00 beta=109.15 gamma=90.00
Space group C2/c (No. 15)
Asymmetric unit:
Sc 0.1898 0.0671 0.0050 [8 per cell]
Sc 0.2500 0.2500 0.5000 [4 per cell]
Se 0.0000 0.2603 0.7500 [4 per cell]
Se 0.0000 0.4200 0.2500 [4 per cell]
N 0.0000 0.0709 0.2500 [4 per cell]

Most intense lines, 2θ from 10° to 90°, in order of falling intensity:
- hkl 1 3 1, 34.41 deg, I = 100
- hkl 2 0 -2, 34.56 deg, I = 44
- hkl 1 3 -3, 50.86 deg, I = 30
- hkl 3 3 -1, 48.25 deg, I = 26
- hkl 2 0 2, 49.32 deg, I = 16
- hkl 0 6 0, 49.58 deg, I = 15
- hkl 1 1 -2, 30.38 deg, I = 15
- hkl 2 6 -2, 61.84 deg, I = 14
- hkl 2 4 -1, 43.18 deg, I = 12
- hkl 2 2 -1, 32.18 deg, I = 12

=====

Sc5Se5N: calculated X-ray powder pattern (Cu Ka), based on a DFT-relaxed cell (GGA-PBE, Alexandria).

Crystal structure
Unit cell a=11.7975 b=5.3484 c=7.4346 alpha=90.00 beta=108.96 gamma=90.00
Space group C2/m (No. 12)
Asymmetric unit:
Sc 0.0000 0.0000 0.0000 [2 per cell]
Sc 0.1424 0.5000 0.2899 [4 per cell]
Sc 0.1474 0.5000 0.8525 [4 per cell]
Se 0.0000 0.5000 0.5000 [2 per cell]
Se 0.1634 0.0000 0.8216 [4 per cell]
Se 0.1749 0.0000 0.3335 [4 per cell]
N 0.0000 0.5000 0.0000 [2 per cell]

Most intense lines, 2θ from 10° to 90°, in order of falling intensity:
- hkl 0 2 0, 33.51 deg, I = 100
- hkl 4 0 -2, 33.92 deg, I = 87
- hkl 2 0 2, 34.29 deg, I = 83
- hkl 4 2 -2, 48.42 deg, I = 61
- hkl 2 2 2, 48.70 deg, I = 58
- hkl 3 1 0, 29.25 deg, I = 55
- hkl 2 2 -4, 60.67 deg, I = 54
- hkl 2 0 -4, 49.00 deg, I = 52
- hkl 3 1 1, 35.02 deg, I = 16
- hkl 1 1 -3, 40.35 deg, I = 14

=====

ScSn2N: calculated X-ray powder pattern (Cu Ka), based on a DFT-relaxed cell (GGA-PBE, Alexandria).

Crystal structure
Unit cell a=6.8883 b=6.8883 c=6.9364 alpha=90.00 beta=90.00 gamma=90.00
Space group I-42d (No. 122)
Asymmetric unit:
Sc 0.0000 0.0000 0.0000 [4 per cell]
Sn 0.1685 0.2500 0.6250 [8 per cell]
N 0.0000 0.0000 0.5000 [4 per cell]

Most intense lines, 2θ from 10° to 90°, in order of falling intensity:
- hkl 1 1 2, 31.67 deg, I = 100
- hkl 2 1 1, 31.78 deg, I = 71
- hkl 3 2 1, 49.45 deg, I = 44
- hkl 3 0 1, 41.43 deg, I = 31
- hkl 2 0 0, 25.87 deg, I = 26
- hkl 5 1 0, 69.58 deg, I = 25
- hkl 2 2 0, 36.91 deg, I = 23
- hkl 2 0 4, 59.70 deg, I = 20
- hkl 3 2 3, 63.13 deg, I = 19
- hkl 2 1 3, 49.28 deg, I = 15

=====

TbSc3N: calculated X-ray powder pattern (Cu Ka), based on a DFT-relaxed cell (GGA-PBE, Alexandria).

Crystal structure
Unit cell a=4.6407 b=4.6407 c=4.6407 alpha=90.00 beta=90.00 gamma=90.00
Space group Pm-3m (No. 221)
Asymmetric unit:
Tb 0.0000 0.0000 0.0000 [1 per cell]
Sc 0.0000 0.5000 0.5000 [3 per cell]
N 0.5000 0.5000 0.5000 [1 per cell]

Most intense lines, 2θ from 10° to 90°, in order of falling intensity:
- hkl 1 1 1, 33.44 deg, I = 100
- hkl 2 0 0, 38.81 deg, I = 59
- hkl 1 1 0, 27.18 deg, I = 53
- hkl 2 2 0, 56.05 deg, I = 38
- hkl 3 1 1, 66.87 deg, I = 38
- hkl 1 0 0, 19.12 deg, I = 35
- hkl 2 1 1, 48.02 deg, I = 22
- hkl 2 1 0, 43.61 deg, I = 19
- hkl 2 2 2, 70.26 deg, I = 12
- hkl 3 2 1, 76.86 deg, I = 11

=====

ScUTe2N: calculated X-ray powder pattern (Cu Ka), based on a DFT-relaxed cell (GGA-PBE, Alexandria).

Crystal structure
Unit cell a=3.9802 b=3.9802 c=14.4402 alpha=90.00 beta=90.00 gamma=90.00
Space group P4/nmm (No. 129, origin choice 2)
Asymmetric unit:
Sc 0.2500 0.2500 0.0878 [2 per cell]
U 0.2500 0.2500 0.5769 [2 per cell]
Te 0.2500 0.2500 0.3012 [2 per cell]
Te 0.2500 0.2500 0.8831 [2 per cell]
N 0.2500 0.7500 0.5000 [2 per cell]

Most intense lines, 2θ from 10° to 90°, in order of falling intensity:
- hkl 1 0 3, 29.11 deg, I = 100
- hkl 1 1 0, 31.79 deg, I = 83
- hkl 1 0 4, 33.51 deg, I = 66
- hkl 2 1 3, 55.00 deg, I = 35
- hkl 2 0 0, 45.58 deg, I = 34
- hkl 2 1 4, 57.75 deg, I = 28
- hkl 1 1 6, 49.83 deg, I = 22
- hkl 1 1 7, 55.21 deg, I = 17
- hkl 3 1 0, 75.54 deg, I = 14
- hkl 1 1 4, 40.65 deg, I = 14

=====

Sc2TiN3: calculated X-ray powder pattern (Cu Ka), based on a DFT-relaxed cell (GGA-PBE, Alexandria).

Crystal structure
Unit cell a=3.1323 b=3.1323 c=13.2132 alpha=90.00 beta=90.00 gamma=90.00
Space group I4/mmm (No. 139)
Asymmetric unit:
Sc 0.0000 0.0000 0.1647 [4 per cell]
Ti 0.0000 0.0000 0.5000 [2 per cell]
N 0.0000 0.0000 0.0000 [2 per cell]
N 0.0000 0.0000 0.3388 [4 per cell]

Most intense lines, 2θ from 10° to 90°, in order of falling intensity:
- hkl 1 1 0, 40.74 deg, I = 100
- hkl 1 0 3, 35.16 deg, I = 93
- hkl 1 1 6, 59.16 deg, I = 56
- hkl 0 0 6, 40.98 deg, I = 49
- hkl 2 0 0, 58.98 deg, I = 28
- hkl 2 0 6, 74.32 deg, I = 26
- hkl 2 1 3, 70.55 deg, I = 24
- hkl 1 0 9, 70.89 deg, I = 12
- hkl 2 2 0, 88.23 deg, I = 8
- hkl 0 0 12, 88.88 deg, I = 4

=====

Zr3Sc3TiN8: calculated X-ray powder pattern (Cu Ka), based on a DFT-relaxed cell (GGA-PBE, Alexandria).

Crystal structure
Unit cell a=6.3798 b=6.3798 c=15.6287 alpha=90.00 beta=90.00 gamma=120.00
Space group R-3m (No. 166, hexagonal axes)
Asymmetric unit:
Zr 0.0000 0.5000 0.0000 [9 per cell]
Sc 0.0000 0.5000 0.5000 [9 per cell]
Ti 0.0000 0.0000 0.0000 [3 per cell]
N 0.0000 0.0000 0.2494 [6 per cell]
N 0.0201 0.5101 0.7438 [18 per cell]

Most intense lines, 2θ from 10° to 90°, in order of falling intensity:
- hkl 0 2 4, 39.97 deg, I = 100
- hkl 0 0 6, 34.43 deg, I = 81
- hkl 2 2 0, 57.81 deg, I = 60
- hkl 0 0 3, 17.02 deg, I = 39
- hkl 0 2 10, 69.05 deg, I = 34
- hkl 0 2 1, 32.93 deg, I = 20
- hkl 4 0 4, 72.59 deg, I = 19
- hkl 0 1 2, 19.68 deg, I = 17
- hkl 1 1 0, 27.97 deg, I = 14
- hkl 0 4 8, 86.24 deg, I = 9